Entry 1:
Starting from a crystal structure in the Materials Project, relaxed with GGA+U, the X-ray diffraction stick pattern of Mn3FeP4O16 was calculated for Cu Kα X-rays.
Peak positions follow from Bragg's law for the DFT cell and can differ from measured ones.

Peak list (10 most intense, 2θ = 5–70°, in order of rising 2θ)
2θ/deg	d/Å	Rel. int.
18.03	4.921	59
20.15	4.407	97
25.05	3.554	63
29.70	3.008	96
32.79	2.731	18
36.14	2.486	100
37.62	2.391	24
40.99	2.202	18
57.00	1.616	17
58.30	1.583	18

Cell and atoms:
Cell lengths 11.5334, 11.5334, 4.9289 Å; angles 90.00, 90.00, 62.84 degrees
Fractional positions:
Mn 0.0000 0.0000 0.0000
Mn 0.0356 0.5331 0.8601
Mn 0.2494 0.2494 0.3551
Mn 0.2842 0.7848 0.4981
Mn 0.5331 0.0356 0.8601
Mn 0.7848 0.2842 0.4981
Fe 0.5046 0.5046 0.9711
Fe 0.7552 0.7552 0.3886
P 0.0928 0.0928 0.5133
P 0.1942 0.6906 0.0120
P 0.3423 0.3423 0.8419
P 0.4447 0.9400 0.3459
P 0.5942 0.5942 0.5170
P 0.6906 0.1942 0.0120
P 0.8447 0.8447 0.8429
P 0.9400 0.4447 0.3459
O 0.0761 0.3800 0.2029
O 0.0827 0.0827 0.2034
O 0.1150 0.6161 0.0714
O 0.1301 0.8270 0.1543
O 0.1574 0.9570 0.6563
O 0.1695 0.1695 0.5732
O 0.2022 0.7017 0.7012
O 0.2057 0.4061 0.7004
O 0.3305 0.6243 0.1512
O 0.3319 0.3319 0.1521
O 0.3681 0.8630 0.2864
O 0.3800 0.0761 0.2029
O 0.4061 0.2057 0.7004
O 0.4183 0.4183 0.7807
O 0.4528 0.9511 0.6568
O 0.4576 0.6555 0.6648
O 0.5815 0.8745 0.2074
O 0.5828 0.5828 0.2117
O 0.6161 0.1150 0.0714
O 0.6243 0.3305 0.1512
O 0.6555 0.4576 0.6648
O 0.6698 0.6698 0.5856
O 0.7017 0.2022 0.7012
O 0.7089 0.9068 0.6937
O 0.8270 0.1301 0.1543
O 0.8339 0.8339 0.1484
O 0.8630 0.3681 0.2864
O 0.8745 0.5815 0.2074
O 0.9068 0.7089 0.6937
O 0.9209 0.9209 0.7759
O 0.9511 0.4528 0.6568
O 0.9570 0.1574 0.6563



Entry 2:
Starting from a crystal structure in the Materials Project, relaxed with GGA+U, the X-ray diffraction stick pattern of Sr4MgMn2Ga2O11 was calculated for Cu Kα X-rays.
Peak positions follow from Bragg's law for the DFT cell and can differ from measured ones.

Peak list (10 most intense, 2θ = 5–70°, in order of rising 2θ)
2θ/deg	d/Å	Rel. int.
28.04	3.183	70
29.66	3.012	69
31.73	2.820	89
32.24	2.777	79
32.36	2.767	87
32.54	2.751	100
34.40	2.607	59
43.35	2.087	49
45.07	2.011	39
47.99	1.896	50

Cell and atoms:
Cell lengths 5.6809, 6.4105, 8.5168 Å; angles 69.05, 71.47, 83.95 degrees
Fractional positions:
Sr 0.0000 0.0000 0.0000
Sr 0.1499 0.0404 0.5385
Sr 0.3068 0.4110 0.0657
Sr 0.6681 0.6042 0.5080
Mg 0.7491 0.6126 0.0908
Mn 0.2598 0.7554 0.2809
Mn 0.7084 0.1749 0.3075
Ga 0.0272 0.4800 0.7702
Ga 0.5736 0.0794 0.7808
O 0.0363 0.7155 0.8547
O 0.0453 0.0657 0.2615
O 0.0867 0.6642 0.5367
O 0.3215 0.3023 0.8028
O 0.4789 0.4288 0.3165
O 0.4880 0.8343 0.9963
O 0.5121 0.9155 0.3005
O 0.6158 0.0187 0.5739
O 0.7812 0.3299 0.0457
O 0.8584 0.2482 0.7314
O 0.9972 0.6228 0.2294